Starting from a GGA-PBE-relaxed structure, the X-ray diffraction stick pattern of RbYI2O8 was simulated for CuKα.

Cell and atoms:
Lattice parameters (Å, degrees): 6.2764 6.2764 8.0992 90.00 90.00 120.00
Space group P-3m1 (No. 164)
One atom of each set of equivalent atoms:
Rb 0.0000 0.0000 0.0000 (multiplicity 1)
Y 0.0000 0.0000 0.5000 (multiplicity 1)
I 0.3333 0.6667 0.2824 (multiplicity 2)
O 0.1605 0.3210 0.3220 (multiplicity 6)
O 0.3333 0.6667 0.0619 (multiplicity 2)

The 10 most intense peaks (10° ≤ 2θ ≤ 90°), by angle:
19.7 deg, d 4.513, rel. 100, (1 0 1)
27.5 deg, d 3.247, rel. 55, (1 0 2)
28.4 deg, d 3.138, rel. 59, (1 1 0)
40.0 deg, d 2.257, rel. 24, (0 2 2)
45.6 deg, d 1.991, rel. 22, (1 2 1)
49.8 deg, d 1.832, rel. 22, (2 1 2)
50.4 deg, d 1.812, rel. 12, (3 0 0)
53.9 deg, d 1.701, rel. 13, (1 1 4)
58.9 deg, d 1.569, rel. 11, (2 2 0)
66.1 deg, d 1.413, rel. 9, (1 3 2)



Starting from a GGA-PBE-relaxed structure, the X-ray diffraction stick pattern of Rb2YIO6 was simulated for CuKα.

Cell and atoms:
Lattice parameters (Å, degrees): 6.2229 6.2229 30.0404 90.00 90.00 120.00
Space group R-3m (No. 166, hexagonal axes)
One atom of each set of equivalent atoms:
Rb 0.0000 0.0000 0.1328 (multiplicity 6)
Rb 0.0000 0.0000 0.2699 (multiplicity 6)
Y 0.0000 0.0000 0.4002 (multiplicity 6)
I 0.0000 0.0000 0.0000 (multiplicity 3)
I 0.0000 0.0000 0.5000 (multiplicity 3)
O 0.0417 0.5208 0.7029 (multiplicity 18)
O 0.0535 0.5267 0.1275 (multiplicity 18)

The 10 most intense peaks (10° ≤ 2θ ≤ 90°), by angle:
17.5 deg, d 5.073, rel. 23, (0 1 2)
26.6 deg, d 3.357, rel. 23, (1 0 7)
28.7 deg, d 3.111, rel. 100, (1 1 0)
29.0 deg, d 3.081, rel. 54, (0 1 8)
39.5 deg, d 2.282, rel. 19, (0 2 7)
41.2 deg, d 2.189, rel. 24, (2 0 8)
50.8 deg, d 1.796, rel. 19, (3 0 0)
51.0 deg, d 1.790, rel. 24, (1 2 8)
54.5 deg, d 1.685, rel. 23, (1 1 15)
59.4 deg, d 1.556, rel. 19, (2 2 0)



Starting from a GGA-PBE-relaxed structure, the X-ray diffraction stick pattern of Rb2ZrI6O was simulated for CuKα.

Cell and atoms:
Lattice parameters (Å, degrees): 9.0310 9.0310 10.0603 90.00 90.00 90.00
Space group I4/mmm (No. 139)
One atom of each set of equivalent atoms:
Rb 0.0000 0.5000 0.2500 (multiplicity 4)
Zr 0.0000 0.0000 0.0000 (multiplicity 2)
I 0.0000 0.0000 0.2849 (multiplicity 4)
I 0.2273 0.2273 0.0000 (multiplicity 8)
O 0.0000 0.0000 0.5000 (multiplicity 2)

The 10 most intense peaks (10° ≤ 2θ ≤ 90°), by angle:
13.9 deg, d 6.386, rel. 16, (1 1 0)
26.5 deg, d 3.360, rel. 100, (2 0 2)
27.9 deg, d 3.193, rel. 73, (2 2 0)
28.4 deg, d 3.144, rel. 13, (1 0 3)
35.7 deg, d 2.515, rel. 17, (0 0 4)
39.9 deg, d 2.258, rel. 25, (4 0 0)
45.2 deg, d 2.007, rel. 14, (3 2 3)
45.9 deg, d 1.976, rel. 30, (2 2 4)
48.6 deg, d 1.874, rel. 31, (4 2 2)
54.6 deg, d 1.680, rel. 16, (4 0 4)